# CaAc6CoRh
Calculated X-ray powder pattern, Cu Kα (weighted mean of Kα1 and Kα2). Input: DFT lattice parameters and positions (GGA-PBE).
Kinematic intensities with the Lorentz-polarization factor, no thermal factor.

Cell and atoms:
a = 7.5176 Å, b = 7.5176 Å, c = 7.7573 Å
α = 90.00°, β = 90.00°, γ = 120.00°
Space group P312 (No. 149)
One atom of each set of equivalent atoms:
1 Ca 0.0000 0.0000 0.0000 [1 per cell]
2 Ac 0.0085 0.3761 0.2844 [6 per cell]
3 Co 0.3333 0.6667 0.5000 [1 per cell]
4 Rh 0.6667 0.3333 0.5000 [1 per cell]

Peak list (10 most intense, 10 to 90 degrees two-theta, sorted by position)
hkl	d_spacing	2θ/deg	I (rel.)
0 0 1	7.757	11.4	17.2
0 0 2	3.879	22.9	20.5
2 -1 1	3.383	26.3	100.0
1 1 2	2.699	33.2	41.1
2 1 1	2.346	38.4	13.2
3 0 0	2.170	41.6	23.3
2 -1 3	2.130	42.4	25.8
3 0 2	1.894	48.0	11.5
4 -2 1	1.827	49.9	12.9
4 -1 1	1.759	52.0	10.3